Diffraction record for Tl4TeAs. The X-ray powder pattern is theoretical, not measured: it uses a crystal structure in Alexandria, relaxed with GGA-PBE and Cu Kα (λ = 1.5418 Å).
No peak broadening, texture or thermal motion is included.

Peak list (10 most intense, 2θ from 10° to 80°, by angle)
| 2theta | I/Imax |
| --- | --- |
| 28.8 | 920 |
| 29.5 | 636 |
| 31.0 | 576 |
| 31.3 | 1000 |
| 32.3 | 372 |
| 32.4 | 404 |
| 33.8 | 315 |
| 34.4 | 477 |
| 35.7 | 334 |
| 58.1 | 332 |

Atomic structure:
Cell: 8.731 8.731 5.888 Å, 100.34 100.34 111.71°
Element x y z (fractional)
Tl1 0.047 0.695 0.912
Tl2 0.224 0.381 0.658
Tl3 0.305 0.953 0.588
Tl4 0.381 0.224 0.158
Tl5 0.619 0.776 0.842
Tl6 0.695 0.047 0.412
Tl7 0.776 0.619 0.342
Tl8 0.953 0.305 0.088
Te1 0.381 0.619 0.250
Te2 0.619 0.381 0.750
As1 0.010 0.990 0.250
As2 0.990 0.010 0.750

---

Diffraction record for Tl14Te9As2. The X-ray powder pattern is theoretical, not measured: it uses a crystal structure in Alexandria, relaxed with GGA-PBE and Cu Kα (λ = 1.5418 Å).
No peak broadening, texture or thermal motion is included.

Peak list (10 most intense, 2θ from 10° to 80°, by angle)
| 2theta | I/Imax |
| --- | --- |
| 26.5 | 555 |
| 27.4 | 776 |
| 28.0 | 559 |
| 30.1 | 1000 |
| 31.5 | 308 |
| 32.3 | 393 |
| 32.6 | 147 |
| 38.5 | 487 |
| 41.2 | 617 |
| 54.3 | 277 |

Atomic structure:
Cell: 10.292 10.292 9.756 Å, 90.00 90.00 120.00°
Element x y z (fractional)
Tl1 0.000 0.000 0.176
Tl2 0.000 0.000 0.824
Tl3 0.015 0.678 0.502
Tl4 0.083 0.419 0.152
Tl5 0.322 0.338 0.502
Tl6 0.336 0.917 0.152
Tl7 0.338 0.015 0.498
Tl8 0.419 0.336 0.848
Tl9 0.581 0.664 0.152
Tl10 0.662 0.985 0.502
Tl11 0.664 0.083 0.848
Tl12 0.678 0.662 0.498
Tl13 0.917 0.581 0.848
Tl14 0.985 0.322 0.498
Te1 0.000 0.000 0.500
Te2 0.106 0.378 0.816
Te3 0.272 0.894 0.816
Te4 0.333 0.667 0.438
Te5 0.378 0.272 0.184
Te6 0.622 0.728 0.816
Te7 0.667 0.333 0.562
Te8 0.728 0.106 0.184
Te9 0.894 0.622 0.184
As1 0.333 0.667 0.722
As2 0.667 0.333 0.278

---

Diffraction record for Tl2TeAs. The X-ray powder pattern is theoretical, not measured: it uses a crystal structure in Alexandria, relaxed with GGA-PBE and Cu Kα (λ = 1.5418 Å).
No peak broadening, texture or thermal motion is included.

Peak list (10 most intense, 2θ from 10° to 80°, by angle)
| 2theta | I/Imax |
| --- | --- |
| 20.8 | 289 |
| 28.8 | 633 |
| 30.3 | 556 |
| 31.6 | 1000 |
| 42.4 | 451 |
| 43.3 | 848 |
| 54.7 | 215 |
| 63.0 | 280 |
| 69.2 | 213 |
| 73.6 | 179 |

Atomic structure:
Cell: 3.229 5.891 6.191 Å, 90.00 90.00 90.00°
Element x y z (fractional)
Tl1 0.000 0.000 0.000
Tl2 0.500 0.500 0.497
Te1 0.500 0.500 0.997
As1 0.000 0.000 0.500

---

Diffraction record for TlTe2As. The X-ray powder pattern is theoretical, not measured: it uses a crystal structure in Alexandria, relaxed with GGA-PBE and Cu Kα (λ = 1.5418 Å).
No peak broadening, texture or thermal motion is included.

Peak list (10 most intense, 2θ from 10° to 80°, by angle)
| 2theta | I/Imax |
| --- | --- |
| 28.5 | 1000 |
| 28.8 | 429 |
| 29.6 | 301 |
| 40.7 | 382 |
| 41.0 | 665 |
| 50.6 | 270 |
| 51.1 | 135 |
| 66.8 | 177 |
| 66.9 | 155 |
| 74.3 | 173 |

Atomic structure:
Cell: 13.159 4.432 4.430 Å, 90.00 109.55 90.00°
Element x y z (fractional)
Tl1 0.000 0.000 0.000
Tl2 0.500 0.500 0.000
Te1 0.230 0.500 0.730
Te2 0.270 0.000 0.270
Te3 0.730 0.000 0.730
Te4 0.770 0.500 0.270
As1 0.000 0.500 0.500
As2 0.500 0.000 0.500

---

Diffraction record for TlTe2As. The X-ray powder pattern is theoretical, not measured: it uses a crystal structure in Alexandria, relaxed with GGA-PBE and Cu Kα (λ = 1.5418 Å).
No peak broadening, texture or thermal motion is included.

Peak list (10 most intense, 2θ from 10° to 80°, by angle)
| 2theta | I/Imax |
| --- | --- |
| 24.5 | 175 |
| 30.0 | 281 |
| 30.6 | 356 |
| 32.6 | 1000 |
| 34.5 | 119 |
| 39.6 | 102 |
| 46.8 | 212 |
| 55.7 | 218 |
| 57.0 | 123 |
| 59.6 | 108 |

Atomic structure:
Cell: 3.880 5.837 10.387 Å, 90.00 90.00 90.00°
Element x y z (fractional)
Tl1 0.000 0.000 0.000
Tl2 0.500 0.500 0.500
Te1 0.000 0.500 0.200
Te2 0.000 0.500 0.800
Te3 0.500 0.000 0.300
Te4 0.500 0.000 0.700
As1 0.000 0.000 0.500
As2 0.500 0.500 0.000

---

Diffraction record for TlTe2As. The X-ray powder pattern is theoretical, not measured: it uses a crystal structure in Alexandria, relaxed with GGA-PBE and Cu Kα (λ = 1.5418 Å).
No peak broadening, texture or thermal motion is included.

Peak list (10 most intense, 2θ from 10° to 80°, by angle)
| 2theta | I/Imax |
| --- | --- |
| 18.1 | 181 |
| 26.2 | 181 |
| 27.2 | 142 |
| 30.7 | 1000 |
| 35.0 | 514 |
| 37.0 | 197 |
| 44.9 | 148 |
| 50.3 | 183 |
| 53.0 | 114 |
| 60.1 | 295 |

Atomic structure:
Cell: 3.625 3.625 9.825 Å, 90.00 90.00 90.00°
Element x y z (fractional)
Tl1 0.000 0.000 0.000
Te1 0.000 0.000 0.403
Te2 0.500 0.500 0.774
As1 0.500 0.500 0.284

---

Diffraction record for U3Te8As. The X-ray powder pattern is theoretical, not measured: it uses a crystal structure in Alexandria, relaxed with GGA-PBE and Cu Kα (λ = 1.5418 Å).
No peak broadening, texture or thermal motion is included.

Peak list (10 most intense, 2θ from 10° to 80°, by angle)
| 2theta | I/Imax |
| --- | --- |
| 14.0 | 261 |
| 17.1 | 259 |
| 23.8 | 549 |
| 28.1 | 420 |
| 34.3 | 1000 |
| 34.6 | 395 |
| 38.8 | 667 |
| 52.7 | 234 |
| 53.0 | 328 |
| 67.4 | 213 |

Atomic structure:
Cell: 9.281 9.281 10.346 Å, 90.00 90.00 120.00°
Element x y z (fractional)
U1 0.183 0.365 0.000
U2 0.183 0.817 0.000
U3 0.365 0.183 0.500
U4 0.635 0.817 0.000
U5 0.817 0.183 0.500
U6 0.817 0.635 0.500
Te1 0.000 0.000 0.063
Te2 0.000 0.000 0.563
Te3 0.059 0.529 0.563
Te4 0.157 0.313 0.304
Te5 0.157 0.843 0.304
Te6 0.313 0.157 0.804
Te7 0.333 0.667 0.827
Te8 0.471 0.529 0.563
Te9 0.471 0.941 0.563
Te10 0.529 0.059 0.063
Te11 0.529 0.471 0.063
Te12 0.667 0.333 0.327
Te13 0.687 0.843 0.304
Te14 0.843 0.157 0.804
Te15 0.843 0.687 0.804
Te16 0.941 0.471 0.063
As1 0.333 0.667 0.212
As2 0.667 0.333 0.712

---

Diffraction record for U2TeAs3. The X-ray powder pattern is theoretical, not measured: it uses a crystal structure in Alexandria, relaxed with GGA-PBE and Cu Kα (λ = 1.5418 Å).
No peak broadening, texture or thermal motion is included.

Peak list (10 most intense, 2θ from 10° to 80°, by angle)
| 2theta | I/Imax |
| --- | --- |
| 24.4 | 805 |
| 31.0 | 365 |
| 32.6 | 431 |
| 32.9 | 661 |
| 38.1 | 1000 |
| 39.6 | 346 |
| 44.5 | 543 |
| 51.3 | 232 |
| 56.2 | 368 |
| 77.6 | 264 |

Atomic structure:
Cell: 4.075 4.075 8.239 Å, 90.00 90.00 90.00°
Element x y z (fractional)
U1 0.000 0.500 0.208
U2 0.500 0.000 0.792
Te1 0.000 0.000 0.500
As1 0.000 0.500 0.858
As2 0.500 0.000 0.142
As3 0.500 0.500 0.500

---

Diffraction record for V4Te5As. The X-ray powder pattern is theoretical, not measured: it uses a crystal structure in Alexandria, relaxed with GGA-PBE and Cu Kα (λ = 1.5418 Å).
No peak broadening, texture or thermal motion is included.

Peak list (10 most intense, 2θ from 10° to 80°, by angle)
| 2theta | I/Imax |
| --- | --- |
| 27.3 | 254 |
| 28.2 | 270 |
| 30.1 | 433 |
| 33.1 | 494 |
| 33.8 | 1000 |
| 45.5 | 196 |
| 47.4 | 347 |
| 48.5 | 321 |
| 51.4 | 151 |
| 62.5 | 150 |

Atomic structure:
Cell: 8.498 8.498 7.979 Å, 101.71 101.71 24.15°
Element x y z (fractional)
V1 0.002 0.002 0.235
V2 0.355 0.355 0.910
V3 0.645 0.645 0.090
V4 0.998 0.998 0.765
Te1 0.168 0.168 0.346
Te2 0.174 0.174 0.852
Te3 0.500 0.500 0.500
Te4 0.826 0.826 0.148
Te5 0.832 0.832 0.654
As1 0.500 0.500 0.000

---

Diffraction record for YTe2As2. The X-ray powder pattern is theoretical, not measured: it uses a crystal structure in Alexandria, relaxed with GGA-PBE and Cu Kα (λ = 1.5418 Å).
No peak broadening, texture or thermal motion is included.

Peak list (10 most intense, 2θ from 10° to 80°, by angle)
| 2theta | I/Imax |
| --- | --- |
| 23.1 | 144 |
| 31.0 | 594 |
| 32.8 | 224 |
| 33.2 | 1000 |
| 36.9 | 329 |
| 41.6 | 235 |
| 53.3 | 256 |
| 54.0 | 107 |
| 56.8 | 184 |
| 70.6 | 109 |

Atomic structure:
Cell: 7.712 7.712 4.340 Å, 90.00 90.00 90.00°
Element x y z (fractional)
Y1 0.000 0.000 0.000
Y2 0.500 0.500 0.000
Te1 0.196 0.304 0.500
Te2 0.304 0.804 0.500
Te3 0.696 0.196 0.500
Te4 0.804 0.696 0.500
As1 0.137 0.637 0.000
As2 0.363 0.137 0.000
As3 0.637 0.863 0.000
As4 0.863 0.363 0.000

---

Diffraction record for ZrTe4As. The X-ray powder pattern is theoretical, not measured: it uses a crystal structure in Alexandria, relaxed with GGA-PBE and Cu Kα (λ = 1.5418 Å).
No peak broadening, texture or thermal motion is included.

Peak list (10 most intense, 2θ from 10° to 80°, by angle)
| 2theta | I/Imax |
| --- | --- |
| 13.1 | 177 |
| 26.4 | 153 |
| 27.5 | 403 |
| 29.6 | 1000 |
| 36.0 | 136 |
| 36.2 | 167 |
| 37.6 | 188 |
| 37.7 | 131 |
| 43.9 | 300 |
| 48.5 | 189 |

Atomic structure:
Cell: 6.756 3.802 7.361 Å, 90.00 90.42 90.00°
Element x y z (fractional)
Zr1 0.000 0.000 0.000
Te1 0.255 0.000 0.679
Te2 0.257 0.500 0.184
Te3 0.743 0.500 0.816
Te4 0.745 0.000 0.321
As1 0.000 0.500 0.500

---

Diffraction record for Th4As. The X-ray powder pattern is theoretical, not measured: it uses a crystal structure in Alexandria, relaxed with GGA-PBE and Cu Kα (λ = 1.5418 Å).
No peak broadening, texture or thermal motion is included.

Peak list (10 most intense, 2θ from 10° to 80°, by angle)
| 2theta | I/Imax |
| --- | --- |
| 15.8 | 27 |
| 22.4 | 23 |
| 27.6 | 1000 |
| 31.9 | 735 |
| 45.8 | 554 |
| 54.3 | 483 |
| 56.9 | 196 |
| 66.8 | 92 |
| 73.7 | 199 |
| 75.9 | 257 |

Atomic structure:
Cell: 5.605 5.605 5.605 Å, 90.00 90.00 90.00°
Element x y z (fractional)
Th1 0.000 0.000 0.000
Th2 0.000 0.500 0.500
Th3 0.500 0.000 0.500
Th4 0.500 0.500 0.000
As1 0.500 0.500 0.500